[1]
# TaNb4B6
Theoretical powder diffractogram, Cu Kα, 1.54184 Å. Input: a cell relaxed with PBE.
Kinematic intensities with the Lorentz-polarization factor, no thermal factor.

The 10 most intense peaks (2θ from 10° to 90°), low angle first:
2θ 28.07, d 3.179, intensity 62.3; 2θ 34.49, d 2.601, intensity 98.7; 2θ 39.42, d 2.286, intensity 28.9; 2θ 41.22, d 2.190, intensity 100.0; 2θ 41.76, d 2.163, intensity 65.4; 2θ 48.61, d 1.873, intensity 20.2; 2θ 55.53, d 1.655, intensity 17.2; 2θ 67.03, d 1.396, intensity 28.4; 2θ 67.16, d 1.394, intensity 28.6; 2θ 74.31, d 1.276, intensity 23.1

Structural model:
Cell lengths 11.539, 11.539, 3.310 Å; angles 90.00, 90.00, 164.25 degrees
Sites, in units of the cell vectors:
Ta 0.000 0.000 0.000
Nb 0.194 0.806 0.500
Nb 0.386 0.614 0.000
Nb 0.614 0.386 0.000
Nb 0.806 0.194 0.500
B 0.081 0.919 0.500
B 0.272 0.728 0.000
B 0.461 0.539 0.500
B 0.539 0.461 0.500
B 0.728 0.272 0.000
B 0.919 0.081 0.500

[2]
# TaNb2B4
Theoretical powder diffractogram, Cu Kα, 1.54184 Å. Input: a cell relaxed with PBE.
Kinematic intensities with the Lorentz-polarization factor, no thermal factor.

The 10 most intense peaks (2θ from 10° to 90°), low angle first:
2θ 25.22, d 3.532, intensity 19.7; 2θ 27.69, d 3.221, intensity 73.9; 2θ 34.27, d 2.617, intensity 95.9; 2θ 38.22, d 2.355, intensity 31.2; 2θ 41.62, d 2.170, intensity 100.0; 2θ 42.05, d 2.149, intensity 62.1; 2θ 47.46, d 1.916, intensity 27.8; 2θ 66.92, d 1.398, intensity 27.6; 2θ 67.03, d 1.396, intensity 27.4; 2θ 74.78, d 1.270, intensity 22.2

Structural model:
Cell lengths 7.424, 7.424, 7.424 Å; angles 155.52, 154.25, 35.82 degrees
Sites, in units of the cell vectors:
Ta 0.000 0.000 0.000
Nb 0.185 0.685 0.500
Nb 0.815 0.315 0.500
B 0.368 0.868 0.500
B 0.436 0.436 0.000
B 0.564 0.564 0.000
B 0.632 0.132 0.500

[3]
# YNb2B
Theoretical powder diffractogram, Cu Kα, 1.54184 Å. Input: a cell relaxed with PBE.
Kinematic intensities with the Lorentz-polarization factor, no thermal factor.

The 10 most intense peaks (2θ from 10° to 90°), low angle first:
2θ 23.54, d 3.779, intensity 22.8; 2θ 27.25, d 3.273, intensity 10.6; 2θ 38.92, d 2.314, intensity 100.0; 2θ 45.99, d 1.973, intensity 11.5; 2θ 56.22, d 1.636, intensity 16.5; 2θ 61.78, d 1.502, intensity 4.7; 2θ 63.57, d 1.464, intensity 3.8; 2θ 70.48, d 1.336, intensity 32.8; 2θ 83.56, d 1.157, intensity 10.3; 2θ 88.35, d 1.106, intensity 3.5

Structural model:
Cell lengths 4.628, 4.628, 4.628 Å; angles 60.00, 60.00, 60.00 degrees
Sites, in units of the cell vectors:
Y 0.000 0.000 0.000
Nb 0.250 0.250 0.250
Nb 0.500 0.500 0.500
B 0.750 0.750 0.750

[4]
# NbZnB4
Theoretical powder diffractogram, Cu Kα, 1.54184 Å. Input: a cell relaxed with PBE.
Kinematic intensities with the Lorentz-polarization factor, no thermal factor.

The 10 most intense peaks (2θ from 10° to 90°), low angle first:
2θ 25.34, d 3.514, intensity 53.8; 2θ 34.05, d 2.633, intensity 66.3; 2θ 34.34, d 2.612, intensity 32.5; 2θ 42.92, d 2.107, intensity 100.0; 2θ 43.16, d 2.096, intensity 49.1; 2θ 52.04, d 1.757, intensity 16.0; 2θ 61.31, d 1.512, intensity 19.5; 2θ 63.67, d 1.462, intensity 21.1; 2θ 77.41, d 1.233, intensity 16.1; 2θ 84.54, d 1.146, intensity 15.3

Structural model:
Cell lengths 4.636, 4.636, 4.636 Å; angles 141.61, 111.43, 81.42 degrees
Sites, in units of the cell vectors:
Nb 0.000 0.000 0.000
Zn 0.500 0.500 0.000
B 0.082 0.748 0.334
B 0.415 0.748 0.666
B 0.585 0.252 0.334
B 0.918 0.252 0.666

[5]
# NdB12
Theoretical powder diffractogram, Cu Kα, 1.54184 Å. Input: a cell relaxed with PBE.
Kinematic intensities with the Lorentz-polarization factor, no thermal factor.

The 10 most intense peaks (2θ from 10° to 90°), low angle first:
2θ 20.36, d 4.362, intensity 87.8; 2θ 23.55, d 3.778, intensity 71.2; 2θ 33.55, d 2.671, intensity 39.9; 2θ 39.56, d 2.278, intensity 100.0; 2θ 41.40, d 2.181, intensity 29.9; 2θ 52.81, d 1.733, intensity 32.2; 2θ 54.29, d 1.690, intensity 22.2; 2θ 59.98, d 1.542, intensity 28.4; 2θ 74.26, d 1.277, intensity 30.4; 2θ 75.49, d 1.259, intensity 20.8

Structural model:
Cell lengths 5.343, 5.343, 5.343 Å; angles 60.00, 60.00, 60.00 degrees
Sites, in units of the cell vectors:
Nd 0.000 0.000 0.000
B 0.163 0.500 0.500
B 0.163 0.500 0.837
B 0.163 0.837 0.500
B 0.500 0.163 0.500
B 0.500 0.163 0.837
B 0.500 0.500 0.163
B 0.500 0.500 0.837
B 0.500 0.837 0.163
B 0.500 0.837 0.500
B 0.837 0.163 0.500
B 0.837 0.500 0.163
B 0.837 0.500 0.500

[6]
# NdB2
Theoretical powder diffractogram, Cu Kα, 1.54184 Å. Input: a cell relaxed with PBE.
Kinematic intensities with the Lorentz-polarization factor, no thermal factor.

The 9 most intense peaks (2θ from 10° to 90°), low angle first:
2θ 22.62, d 3.930, intensity 99.8; 2θ 37.37, d 2.407, intensity 100.0; 2θ 44.12, d 2.052, intensity 71.8; 2θ 53.87, d 1.702, intensity 14.3; 2θ 59.16, d 1.562, intensity 23.0; 2θ 67.40, d 1.389, intensity 35.4; 2θ 72.10, d 1.310, intensity 21.9; 2θ 79.68, d 1.203, intensity 13.2; 2θ 84.14, d 1.151, intensity 17.0

Structural model:
Cell lengths 4.813, 4.813, 4.813 Å; angles 60.00, 60.00, 60.00 degrees
Sites, in units of the cell vectors:
Nd 0.125 0.125 0.125
Nd 0.875 0.875 0.875
B 0.000 0.500 0.500
B 0.500 0.000 0.500
B 0.500 0.500 0.000
B 0.500 0.500 0.500

[7]
# Nd3Ni2B2P3
Theoretical powder diffractogram, Cu Kα, 1.54184 Å. Input: a cell relaxed with PBE.
Kinematic intensities with the Lorentz-polarization factor, no thermal factor.

The 10 most intense peaks (2θ from 10° to 90°), low angle first:
2θ 25.23, d 3.530, intensity 100.0; 2θ 30.24, d 2.956, intensity 24.7; 2θ 31.24, d 2.863, intensity 53.8; 2θ 32.35, d 2.767, intensity 32.1; 2θ 33.14, d 2.703, intensity 46.7; 2θ 35.48, d 2.530, intensity 34.2; 2θ 40.23, d 2.242, intensity 66.5; 2θ 44.77, d 2.024, intensity 52.0; 2θ 52.08, d 1.756, intensity 29.6; 2θ 56.82, d 1.620, intensity 38.4

Structural model:
Cell lengths 11.186, 11.186, 11.186 Å; angles 159.15, 159.15, 29.66 degrees
Sites, in units of the cell vectors:
Nd 0.000 0.000 0.000
Nd 0.278 0.278 0.000
Nd 0.639 0.639 0.000
Ni 0.389 0.889 0.500
Ni 0.889 0.389 0.500
B 0.418 0.418 0.000
B 0.860 0.860 0.000
P 0.139 0.139 0.000
P 0.508 0.508 0.000
P 0.770 0.770 0.000

[8]
# Pr2NdNi2B2P3
Theoretical powder diffractogram, Cu Kα, 1.54184 Å. Input: a cell relaxed with PBE.
Kinematic intensities with the Lorentz-polarization factor, no thermal factor.

The 10 most intense peaks (2θ from 10° to 90°), low angle first:
2θ 25.08, d 3.551, intensity 100.0; 2θ 31.06, d 2.880, intensity 53.5; 2θ 32.15, d 2.784, intensity 32.2; 2θ 32.92, d 2.721, intensity 45.7; 2θ 35.26, d 2.545, intensity 33.2; 2θ 39.97, d 2.255, intensity 69.2; 2θ 44.49, d 2.036, intensity 52.2; 2θ 51.75, d 1.766, intensity 29.7; 2θ 56.45, d 1.630, intensity 37.7; 2θ 68.60, d 1.368, intensity 24.7

Structural model:
Cell lengths 11.257, 11.257, 11.257 Å; angles 159.16, 159.16, 29.64 degrees
Sites, in units of the cell vectors:
Pr 0.140 0.140 0.000
Pr 0.860 0.860 0.000
Nd 0.500 0.500 0.000
Ni 0.250 0.750 0.500
Ni 0.750 0.250 0.500
B 0.280 0.280 0.000
B 0.720 0.720 0.000
P 0.000 0.000 0.000
P 0.369 0.369 0.000
P 0.631 0.631 0.000

[9]
# NdSmNi8B2
Theoretical powder diffractogram, Cu Kα, 1.54184 Å. Input: a cell relaxed with PBE.
Kinematic intensities with the Lorentz-polarization factor, no thermal factor.

The 10 most intense peaks (2θ from 10° to 90°), low angle first:
2θ 32.77, d 2.733, intensity 84.4; 2θ 35.59, d 2.523, intensity 29.4; 2θ 38.55, d 2.335, intensity 12.8; 2θ 41.32, d 2.185, intensity 75.5; 2θ 44.24, d 2.047, intensity 100.0; 2θ 62.14, d 1.494, intensity 26.7; 2θ 64.80, d 1.439, intensity 14.9; 2θ 68.68, d 1.367, intensity 14.1; 2θ 69.95, d 1.345, intensity 24.2; 2θ 75.35, d 1.261, intensity 21.6

Structural model:
Cell lengths 5.046, 5.046, 7.006 Å; angles 90.00, 90.00, 120.00 degrees
Sites, in units of the cell vectors:
Nd 0.000 0.000 0.000
Sm 0.000 0.000 0.500
Ni 0.000 0.500 0.293
Ni 0.000 0.500 0.707
Ni 0.333 0.667 0.000
Ni 0.500 0.000 0.293
Ni 0.500 0.000 0.707
Ni 0.500 0.500 0.293
Ni 0.500 0.500 0.707
Ni 0.667 0.333 0.000
B 0.333 0.667 0.500
B 0.667 0.333 0.500

[10]
# NdSmNi8B2
Theoretical powder diffractogram, Cu Kα, 1.54184 Å. Input: a cell relaxed with PBE.
Kinematic intensities with the Lorentz-polarization factor, no thermal factor.

The 10 most intense peaks (2θ from 10° to 90°), low angle first:
2θ 32.77, d 2.733, intensity 84.4; 2θ 35.58, d 2.523, intensity 29.4; 2θ 38.57, d 2.334, intensity 13.4; 2θ 41.31, d 2.185, intensity 75.5; 2θ 44.24, d 2.047, intensity 100.0; 2θ 62.13, d 1.494, intensity 26.7; 2θ 64.81, d 1.438, intensity 14.8; 2θ 68.70, d 1.366, intensity 14.2; 2θ 69.94, d 1.345, intensity 24.3; 2θ 75.33, d 1.262, intensity 21.6

Structural model:
Cell lengths 5.047, 5.047, 7.003 Å; angles 90.00, 90.00, 120.00 degrees
Sites, in units of the cell vectors:
Nd 0.000 0.000 0.000
Sm 0.000 0.000 0.500
Ni 0.000 0.500 0.207
Ni 0.000 0.500 0.793
Ni 0.333 0.667 0.500
Ni 0.500 0.000 0.207
Ni 0.500 0.000 0.793
Ni 0.500 0.500 0.207
Ni 0.500 0.500 0.793
Ni 0.667 0.333 0.500
B 0.333 0.667 0.000
B 0.667 0.333 0.000

[11]
# NdTmNi8B2
Theoretical powder diffractogram, Cu Kα, 1.54184 Å. Input: a cell relaxed with PBE.
Kinematic intensities with the Lorentz-polarization factor, no thermal factor.

The 10 most intense peaks (2θ from 10° to 90°), low angle first:
2θ 32.95, d 2.718, intensity 88.6; 2θ 35.80, d 2.508, intensity 30.6; 2θ 38.13, d 2.360, intensity 14.0; 2θ 41.57, d 2.172, intensity 74.3; 2θ 44.50, d 2.036, intensity 100.0; 2θ 62.53, d 1.485, intensity 28.0; 2θ 65.20, d 1.431, intensity 14.5; 2θ 69.11, d 1.359, intensity 16.3; 2θ 70.40, d 1.337, intensity 24.3; 2θ 75.85, d 1.254, intensity 21.0

Structural model:
Cell lengths 5.017, 5.017, 6.969 Å; angles 90.00, 90.00, 120.00 degrees
Sites, in units of the cell vectors:
Nd 0.000 0.000 0.000
Tm 0.000 0.000 0.500
Ni 0.000 0.500 0.210
Ni 0.000 0.500 0.790
Ni 0.333 0.667 0.500
Ni 0.500 0.000 0.210
Ni 0.500 0.000 0.790
Ni 0.500 0.500 0.210
Ni 0.500 0.500 0.790
Ni 0.667 0.333 0.500
B 0.333 0.667 0.000
B 0.667 0.333 0.000